Diffraction record for CsAg5Se3. The XRD peak list is calculated, not measured: it uses a GGA-PBE-relaxed structure and Cu Kα.
Kinematic intensities with the Lorentz-polarization factor, no thermal factor.

Main lines, sorted by position (5 to 70 degrees two-theta):
2θ (°)  I/Imax
8.72  74
13.81  26
24.83  42
26.58  16
28.02  43
32.61  100
37.24  100
37.79  38
40.31  77
44.68  39
44.81  58
61.75  29

Cell and atoms:
Unit cell a=14.3409 b=14.3409 c=4.4724 alpha=90.00 beta=90.00 gamma=90.00
Sites, in units of the cell vectors:
1 Cs 0.1147 0.1147 0.0000
2 Cs 0.3853 0.6147 0.5000
3 Cs 0.6147 0.3853 0.5000
4 Cs 0.8853 0.8853 0.0000
5 Ag 0.0168 0.3918 0.0000
6 Ag 0.0755 0.7178 0.5000
7 Ag 0.1082 0.5168 0.5000
8 Ag 0.1747 0.8253 0.0000
9 Ag 0.2178 0.4245 0.0000
10 Ag 0.2822 0.9245 0.5000
11 Ag 0.3253 0.3253 0.5000
12 Ag 0.3918 0.0168 0.0000
13 Ag 0.4245 0.2178 0.0000
14 Ag 0.4832 0.8918 0.5000
15 Ag 0.5168 0.1082 0.5000
16 Ag 0.5755 0.7822 0.0000
17 Ag 0.6082 0.9832 0.0000
18 Ag 0.6747 0.6747 0.5000
19 Ag 0.7178 0.0755 0.5000
20 Ag 0.7822 0.5755 0.0000
21 Ag 0.8253 0.1747 0.0000
22 Ag 0.8918 0.4832 0.5000
23 Ag 0.9245 0.2822 0.5000
24 Ag 0.9832 0.6082 0.0000
25 Se 0.1005 0.8995 0.5000
26 Se 0.1174 0.3307 0.5000
27 Se 0.1693 0.6174 0.0000
28 Se 0.3307 0.1174 0.5000
29 Se 0.3826 0.8307 0.0000
30 Se 0.3995 0.3995 0.0000
31 Se 0.6005 0.6005 0.0000
32 Se 0.6174 0.1693 0.0000
33 Se 0.6693 0.8826 0.5000
34 Se 0.8307 0.3826 0.0000
35 Se 0.8826 0.6693 0.5000
36 Se 0.8995 0.1005 0.5000

---

Diffraction record for CsAgSe4. The XRD peak list is calculated, not measured: it uses a GGA-PBE-relaxed structure and Cu Kα.
Kinematic intensities with the Lorentz-polarization factor, no thermal factor.

Main lines, sorted by position (5 to 70 degrees two-theta):
2θ (°)  I/Imax
24.02  44
24.62  46
24.81  38
26.37  76
27.04  74
28.92  63
30.44  100
32.25  76
40.84  38
47.99  41
49.66  54
50.89  52

Cell and atoms:
Unit cell a=5.9252 b=9.4920 c=14.4659 alpha=90.00 beta=90.00 gamma=90.00
Sites, in units of the cell vectors:
1 Cs 0.1784 0.0646 0.3332
2 Cs 0.3216 0.9354 0.8332
3 Cs 0.6784 0.4354 0.6668
4 Cs 0.8216 0.5646 0.1668
5 Ag 0.0447 0.1281 0.0587
6 Ag 0.4553 0.8719 0.5587
7 Ag 0.5447 0.3719 0.9413
8 Ag 0.9553 0.6281 0.4413
9 Se 0.0830 0.5796 0.9302
10 Se 0.1192 0.7008 0.6059
11 Se 0.1450 0.3712 0.8370
12 Se 0.1948 0.8712 0.0959
13 Se 0.3052 0.1288 0.5959
14 Se 0.3550 0.6288 0.3370
15 Se 0.3808 0.2992 0.1059
16 Se 0.4170 0.4204 0.4302
17 Se 0.5830 0.9204 0.0698
18 Se 0.6192 0.7992 0.3941
19 Se 0.6450 0.1288 0.1630
20 Se 0.6948 0.6288 0.9041
21 Se 0.8052 0.3712 0.4041
22 Se 0.8550 0.8712 0.6630
23 Se 0.8808 0.2008 0.8941
24 Se 0.9170 0.0796 0.5698

---

Diffraction record for CsUAgSe3. The XRD peak list is calculated, not measured: it uses a GGA-PBE-relaxed structure and Cu Kα.
Kinematic intensities with the Lorentz-polarization factor, no thermal factor.

Main lines, sorted by position (5 to 70 degrees two-theta):
2θ (°)  I/Imax
11.03  100
19.64  34
22.17  20
26.65  31
27.89  65
31.34  58
32.73  54
37.45  20
38.73  49
42.14  27
49.79  21
54.36  21

Cell and atoms:
Unit cell a=8.3001 b=8.3001 c=10.9422 alpha=90.00 beta=90.00 gamma=150.06
Sites, in units of the cell vectors:
1 Cs 0.2448 0.7552 0.7500
2 Cs 0.7552 0.2448 0.2500
3 U 0.5000 0.5000 0.0000
4 U 0.5000 0.5000 0.5000
5 Ag 0.0414 0.9586 0.2500
6 Ag 0.9586 0.0414 0.7500
7 Se 0.1171 0.8829 0.0384
8 Se 0.1171 0.8829 0.4616
9 Se 0.4415 0.5585 0.2500
10 Se 0.5585 0.4415 0.7500
11 Se 0.8829 0.1171 0.5384
12 Se 0.8829 0.1171 0.9616

---

Diffraction record for DyCu4Ag. The XRD peak list is calculated, not measured: it uses a GGA-PBE-relaxed structure and Cu Kα.
Kinematic intensities with the Lorentz-polarization factor, no thermal factor.

Main lines, sorted by position (5 to 70 degrees two-theta):
2θ (°)  I/Imax
21.52  6
24.90  2
35.50  54
41.89  100
43.85  21
56.05  2
57.64  1
63.75  19
68.12  30

Cell and atoms:
Unit cell a=5.0575 b=5.0575 c=5.0575 alpha=60.00 beta=60.00 gamma=60.00
Sites, in units of the cell vectors:
1 Dy 0.0000 0.0000 0.0000
2 Cu 0.3762 0.3762 0.3762
3 Cu 0.3762 0.3762 0.8715
4 Cu 0.3762 0.8715 0.3762
5 Cu 0.8715 0.3762 0.3762
6 Ag 0.7500 0.7500 0.7500

---

Diffraction record for CuAgF3. The XRD peak list is calculated, not measured: it uses a GGA-PBE-relaxed structure and Cu Kα.
Kinematic intensities with the Lorentz-polarization factor, no thermal factor.

Main lines, sorted by position (5 to 70 degrees two-theta):
2θ (°)  I/Imax
22.18  2
31.57  100
38.92  15
45.24  39
50.94  1
56.21  37
65.91  22

Cell and atoms:
Unit cell a=4.0084 b=4.0084 c=4.0084 alpha=90.00 beta=90.00 gamma=90.00
Sites, in units of the cell vectors:
1 Cu 0.0000 0.0000 0.0000
2 Ag 0.5000 0.5000 0.5000
3 F 0.0000 0.0000 0.5000
4 F 0.0000 0.5000 0.0000
5 F 0.5000 0.0000 0.0000